[1]
For Ba3Mg3Cd2, a PBE-relaxed structure gives the calculated powder diffraction line list in this record (Cu Kα X-rays).
Kinematic intensities with the Lorentz-polarization factor, no thermal factor.

Top 10 peaks for 2θ = 5–70°, in order of falling intensity:
2theta, I (rel.), h k l
31.67, 100, 1 3 2
28.44, 98, 1 1 2
30.19, 82, 2 4 1
29.14, 64, 0 6 0
31.37, 62, 3 0 1
44.72, 61, 1 7 2
21.71, 61, 1 3 1
27.08, 55, 2 4 0
34.25, 37, 1 4 2
19.30, 35, 0 4 0

Atomic structure:
abc: 9.4323 18.3935 6.7669
angles: 90.00 90.00 90.00
Space group Pnma (No. 62)
Inequivalent atoms, fractional coordinates:
Ba: 0.0343 0.1056 0.1232 (multiplicity 8)
Ba: 0.1646 0.2500 0.6271 (multiplicity 4)
Mg: 0.1725 0.0351 0.6034 (multiplicity 8)
Mg: 0.1799 0.7500 0.6150 (multiplicity 4)
Cd: 0.1210 0.6046 0.3792 (multiplicity 8)

[2]
For BaMg6Cd2, a PBE-relaxed structure gives the calculated powder diffraction line list in this record (Cu Kα X-rays).
Kinematic intensities with the Lorentz-polarization factor, no thermal factor.

Top 10 peaks for 2θ = 5–70°, in order of falling intensity:
2theta, I (rel.), h k l
8.39, 100, 0 0 1
31.62, 62, 1 0 3
27.75, 53, 1 1 1
37.69, 46, 2 0 0
26.40, 43, 1 1 0
39.04, 37, 1 0 4
49.99, 33, 2 1 3
25.17, 31, 1 0 2
31.47, 27, 1 1 2
55.38, 26, 2 1 4

Atomic structure:
abc: 4.7738 4.7738 10.5422
angles: 90.00 90.00 90.00
Space group P4/mmm (No. 123)
Inequivalent atoms, fractional coordinates:
Ba: 0.0000 0.0000 0.0000 (multiplicity 1)
Mg: 0.0000 0.0000 0.5000 (multiplicity 1)
Mg: 0.0000 0.5000 0.3048 (multiplicity 4)
Mg: 0.5000 0.5000 0.5000 (multiplicity 1)
Cd: 0.5000 0.5000 0.1405 (multiplicity 2)

[3]
For Ba2Mg3Cd12Pb, a PBE-relaxed structure gives the calculated powder diffraction line list in this record (Cu Kα X-rays).
Kinematic intensities with the Lorentz-polarization factor, no thermal factor.

Top 10 peaks for 2θ = 5–70°, in order of falling intensity:
2theta, I (rel.), h k l
31.29, 100, 0 2 4
35.55, 93, 2 0 8
30.25, 60, 0 1 11
29.49, 55, 1 1 6
26.68, 54, 1 1 3
52.79, 49, 2 2 0
38.47, 48, 0 2 10
17.56, 35, 1 0 4
52.97, 34, 1 2 14
28.14, 28, 1 0 10

Atomic structure:
abc: 6.9363 6.9363 37.3335
angles: 90.00 90.00 120.00
Space group R-3m (No. 166, hexagonal axes)
Inequivalent atoms, fractional coordinates:
Ba: 0.0000 0.0000 0.1413 (multiplicity 6)
Mg: 0.0000 0.5000 0.0000 (multiplicity 9)
Cd: 0.0057 0.5028 0.8976 (multiplicity 18)
Cd: 0.0535 0.5268 0.6164 (multiplicity 18)
Pb: 0.0000 0.0000 0.5000 (multiplicity 3)

[4]
For Ba2Mg3Cd12Pd, a PBE-relaxed structure gives the calculated powder diffraction line list in this record (Cu Kα X-rays).
Kinematic intensities with the Lorentz-polarization factor, no thermal factor.

Top 10 peaks for 2θ = 5–70°, in order of falling intensity:
2theta, I (rel.), h k l
31.49, 100, 0 2 4
36.04, 70, 2 0 8
52.96, 47, 2 2 0
29.83, 37, 1 1 6
28.96, 36, 1 0 10
39.15, 33, 0 2 10
26.84, 28, 1 1 3
7.37, 24, 0 0 3
48.04, 22, 3 0 6
53.99, 20, 1 2 14

Atomic structure:
abc: 6.9150 6.9150 35.9670
angles: 90.00 90.00 120.00
Space group R-3m (No. 166, hexagonal axes)
Inequivalent atoms, fractional coordinates:
Ba: 0.0000 0.0000 0.1446 (multiplicity 6)
Mg: 0.0000 0.5000 0.0000 (multiplicity 9)
Cd: 0.0305 0.5153 0.1071 (multiplicity 18)
Cd: 0.0466 0.5233 0.6128 (multiplicity 18)
Pd: 0.0000 0.0000 0.5000 (multiplicity 3)

[5]
For BaMg2CdSe4, a PBE-relaxed structure gives the calculated powder diffraction line list in this record (Cu Kα X-rays).
Kinematic intensities with the Lorentz-polarization factor, no thermal factor.

Top 10 peaks for 2θ = 5–70°, in order of falling intensity:
2theta, I (rel.), h k l
31.27, 100, 1 3 2
12.19, 37, 0 0 2
28.15, 29, 0 4 2
27.64, 27, 0 2 4
24.52, 26, 0 0 4
29.35, 25, 1 3 1
43.56, 25, 2 0 0
47.59, 24, 1 3 6
29.02, 18, 1 1 3
40.63, 16, 1 5 2

Atomic structure:
abc: 4.1555 14.0918 14.5238
angles: 90.00 90.00 90.00
Space group Cmcm (No. 63)
Inequivalent atoms, fractional coordinates:
Ba: 0.0000 0.1364 0.2500 (multiplicity 4)
Mg: 0.0000 0.3774 0.0462 (multiplicity 8)
Cd: 0.0000 0.1443 0.7500 (multiplicity 4)
Se: 0.0000 0.0000 0.0000 (multiplicity 4)
Se: 0.0000 0.2518 0.6028 (multiplicity 8)
Se: 0.0000 0.4649 0.2500 (multiplicity 4)

[6]
For Ba2TmMg12Cd3, a PBE-relaxed structure gives the calculated powder diffraction line list in this record (Cu Kα X-rays).
Kinematic intensities with the Lorentz-polarization factor, no thermal factor.

Top 10 peaks for 2θ = 5–70°, in order of falling intensity:
2theta, I (rel.), h k l
27.28, 100, 1 0 7
24.28, 82, 2 0 2
35.74, 78, 1 2 5
23.49, 69, 0 2 1
39.91, 55, 2 1 7
40.80, 52, 2 2 0
21.06, 51, 0 1 5
22.71, 45, 1 1 3
20.08, 37, 1 1 0
13.52, 37, 0 1 2

Atomic structure:
abc: 8.8462 8.8462 25.2769
angles: 90.00 90.00 120.00
Space group R-3m (No. 166, hexagonal axes)
Inequivalent atoms, fractional coordinates:
Ba: 0.0000 0.0000 0.0819 (multiplicity 6)
Tm: 0.0000 0.0000 0.5000 (multiplicity 3)
Mg: 0.0820 0.5410 0.8691 (multiplicity 18)
Mg: 0.1035 0.5518 0.2662 (multiplicity 18)
Cd: 0.0000 0.5000 0.0000 (multiplicity 9)

[7]
For Ba2Mg12Zn3Cd, a PBE-relaxed structure gives the calculated powder diffraction line list in this record (Cu Kα X-rays).
Kinematic intensities with the Lorentz-polarization factor, no thermal factor.

Top 10 peaks for 2θ = 5–70°, in order of falling intensity:
2theta, I (rel.), h k l
23.45, 100, 0 1 5
37.53, 92, 2 2 0
22.37, 83, 1 1 3
22.99, 66, 2 0 2
21.81, 62, 0 2 1
40.20, 54, 2 0 8
18.51, 39, 1 1 0
35.51, 36, 1 2 5
34.79, 34, 3 0 3
44.72, 31, 3 1 5

Atomic structure:
abc: 9.5866 9.5866 21.3287
angles: 90.00 90.00 120.00
Space group R-3m (No. 166, hexagonal axes)
Inequivalent atoms, fractional coordinates:
Ba: 0.0000 0.0000 0.1046 (multiplicity 6)
Mg: 0.0111 0.5055 0.1221 (multiplicity 18)
Mg: 0.0667 0.5333 0.3576 (multiplicity 18)
Zn: 0.0000 0.5000 0.0000 (multiplicity 9)
Cd: 0.0000 0.0000 0.5000 (multiplicity 3)

[8]
For BaMgZnCd2, a PBE-relaxed structure gives the calculated powder diffraction line list in this record (Cu Kα X-rays).
Kinematic intensities with the Lorentz-polarization factor, no thermal factor.

Top 10 peaks for 2θ = 5–70°, in order of falling intensity:
2theta, I (rel.), h k l
30.58, 100, 1 1 2
28.42, 75, 1 0 3
38.73, 57, 2 0 0
40.27, 50, 0 1 5
57.11, 35, 2 1 5
48.73, 33, 1 2 3
20.32, 26, 0 1 1
27.12, 22, 1 1 0
65.10, 22, 3 1 2
55.93, 19, 2 2 0

Atomic structure:
abc: 4.6473 4.6518 12.7772
angles: 90.00 90.00 90.00
Space group Imm2 (No. 44)
Inequivalent atoms, fractional coordinates:
Ba: 0.0000 0.0000 0.0000 (multiplicity 2)
Mg: 0.0000 0.5000 0.7594 (multiplicity 2)
Zn: 0.0000 0.0000 0.3920 (multiplicity 2)
Cd: 0.0000 0.0000 0.6134 (multiplicity 2)
Cd: 0.0000 0.5000 0.2624 (multiplicity 2)

[9]
For Ba2MnCd, a PBE-relaxed structure gives the calculated powder diffraction line list in this record (Cu Kα X-rays).
Kinematic intensities with the Lorentz-polarization factor, no thermal factor.

Top 10 peaks for 2θ = 5–70°, in order of falling intensity:
2theta, I (rel.), h k l
29.45, 100, 1 0 2
32.28, 93, 1 1 0
24.53, 75, 1 0 1
36.31, 61, 1 0 3
43.23, 41, 1 1 3
27.98, 34, 0 0 3
46.29, 33, 2 0 0
55.83, 32, 2 1 2
60.21, 27, 2 1 3
9.25, 27, 0 0 1

Atomic structure:
abc: 3.9223 3.9223 9.5656
angles: 90.00 90.00 90.00
Space group P4mm (No. 99)
Inequivalent atoms, fractional coordinates:
Ba: 0.0000 0.0000 0.0000 (multiplicity 1)
Ba: 0.5000 0.5000 0.3925 (multiplicity 1)
Mn: 0.5000 0.5000 0.7552 (multiplicity 1)
Cd: 0.0000 0.0000 0.6387 (multiplicity 1)

[10]
For Ba2MnCdN, a PBE-relaxed structure gives the calculated powder diffraction line list in this record (Cu Kα X-rays).
Kinematic intensities with the Lorentz-polarization factor, no thermal factor.

Top 10 peaks for 2θ = 5–70°, in order of falling intensity:
2theta, I (rel.), h k l
31.68, 100, 1 1 1
29.69, 68, 2 0 0
53.95, 43, 3 1 1
42.48, 25, 2 2 0
57.65, 20, 2 0 2
66.18, 13, 2 2 2
69.90, 11, 4 2 0
48.21, 8, 0 0 2
61.65, 8, 4 0 0
20.87, 4, 1 1 0

Atomic structure:
abc: 6.0182 6.0182 3.7752
angles: 90.00 90.00 90.00
Space group P4/mmm (No. 123)
Inequivalent atoms, fractional coordinates:
Ba: 0.0000 0.5000 0.0000 (multiplicity 2)
Mn: 0.0000 0.0000 0.5000 (multiplicity 1)
Cd: 0.5000 0.5000 0.5000 (multiplicity 1)
N: 0.0000 0.0000 0.0000 (multiplicity 1)